No. 1
Structure and simulated powder XRD pattern of AgPdPtBr6 (a cell relaxed with PBE; a wavelength of 1.5418 Å).
Kinematic intensities with the Lorentz-polarization factor, no thermal factor.

Structural model:
```
data_AgPdPtBr6
_cell_length_a 6.9223
_cell_length_b 6.9223
_cell_length_c 11.3328
_cell_angle_alpha 90.00
_cell_angle_beta 90.00
_cell_angle_gamma 90.00
_space_group_name_H-M_alt 'P 42 n m'
_space_group_IT_number 102
loop_
_space_group_symop_operation_xyz
'x,y,z'
'-y+1/2,x+1/2,z+1/2'
'-x,-y,z'
'y+1/2,-x+1/2,z+1/2'
'-x+1/2,y+1/2,z+1/2'
'y,x,z'
'x+1/2,-y+1/2,z+1/2'
'-y,-x,z'
loop_
_atom_site_label
_atom_site_type_symbol
_atom_site_fract_x
_atom_site_fract_y
_atom_site_fract_z
Ag1 Ag 0.0000 0.0000 0.0000
Pd1 Pd 0.0000 0.0000 0.6657
Pt1 Pt 0.0000 0.0000 0.3369
Br1 Br 0.1702 0.1702 0.5002
Br2 Br 0.1761 0.1761 0.1807
Br3 Br 0.1787 0.1787 0.8224
```

Most intense lines, 10° ≤ 2θ ≤ 90°, sorted by position:
Position (°2θ)  I_rel  h k l
18.12  100  1 1 0
28.84  31  2 1 0
29.88  36  1 1 3
36.72  22  2 2 0
37.56  70  2 1 3
46.10  52  3 0 3
56.39  14  3 3 0
60.33  14  4 1 3

---

No. 2
Structure and simulated powder XRD pattern of Rb4Ag3PdBr12 (a cell relaxed with PBE; a wavelength of 1.5418 Å).
Kinematic intensities with the Lorentz-polarization factor, no thermal factor.

Structural model:
```
data_Rb4Ag3PdBr12
_cell_length_a 10.8608
_cell_length_b 10.8608
_cell_length_c 10.8608
_cell_angle_alpha 90.00
_cell_angle_beta 90.00
_cell_angle_gamma 90.00
_space_group_name_H-M_alt 'I m -3 m'
_space_group_IT_number 229
_space_group_name_Hall '-I 4 2 3'
loop_
_atom_site_label
_atom_site_type_symbol
_atom_site_fract_x
_atom_site_fract_y
_atom_site_fract_z
Rb1 Rb 0.2500 0.2500 0.2500
Ag1 Ag 0.0000 0.0000 0.5000
Pd1 Pd 0.0000 0.0000 0.0000
Br1 Br 0.0000 0.0000 0.2343
Br2 Br 0.0000 0.2500 0.5000
```

Most intense lines, 10° ≤ 2θ ≤ 90°, sorted by position:
Position (°2θ)  I_rel  h k l
16.32  34  2 0 0
23.16  35  2 2 0
28.47  49  2 2 2
32.99  100  4 0 0
47.35  70  4 4 0
58.91  23  4 4 4
78.82  29  8 4 0
88.13  23  8 4 4

---

No. 3
Structure and simulated powder XRD pattern of SrAg2PdBr6 (a cell relaxed with PBE; a wavelength of 1.5418 Å).
Kinematic intensities with the Lorentz-polarization factor, no thermal factor.

Structural model:
```
data_SrAg2PdBr6
_cell_length_a 6.0554
_cell_length_b 7.7604
_cell_length_c 8.3078
_cell_angle_alpha 63.54
_cell_angle_beta 73.52
_cell_angle_gamma 87.92
_space_group_name_H-M_alt 'P 1'
_space_group_IT_number 1
loop_
_space_group_symop_operation_xyz
'x,y,z'
loop_
_atom_site_label
_atom_site_type_symbol
_atom_site_fract_x
_atom_site_fract_y
_atom_site_fract_z
Sr1 Sr 0.0000 0.0000 0.0000
Ag1 Ag 0.3251 0.5445 0.4705
Ag2 Ag 0.7605 0.0743 0.4701
Pd1 Pd 0.5097 0.4988 0.0146
Br1 Br 0.0081 0.7987 0.4011
Br2 Br 0.0163 0.2260 0.5942
Br3 Br 0.2970 0.4016 0.8470
Br4 Br 0.4487 0.8437 0.8379
Br5 Br 0.5672 0.1544 0.1936
Br6 Br 0.7098 0.5849 0.1942
```

Most intense lines, 10° ≤ 2θ ≤ 90°, sorted by position:
Position (°2θ)  I_rel  h k l
18.38  49  1 1 1
18.97  57  1 -1 0
21.06  55  1 1 0
22.06  100  -1 1 1
22.57  72  1 0 -1
27.12  58  1 2 1
32.97  69  1 1 3
46.66  57  3 1 1